Simulated X-ray diffraction stick pattern of CdB2XeF10 for Cu Kα, from DFT lattice parameters and positions (PBE).
Intensities are scaled so that the largest is 100.

Cell and atoms:
```
56
Lattice="11.0125 0.0000 0.0000 0.0000 9.2543 0.0000 -3.2251 0.0000 8.3935" Properties=species:S:1:pos:R:3 pbc="T T T"
Cd 0.3879 0.3358 2.9099
Cd -1.2247 4.2913 7.1067
Cd 9.0121 4.9630 1.2868
Cd 7.3995 8.9184 5.4835
B -0.8780 6.6568 4.4175
B 0.7345 7.2246 0.2208
B -0.2084 0.9177 6.5277
B 1.4041 3.7094 2.3310
B 6.3833 5.5448 6.0624
B 7.9958 8.3366 1.8657
B 7.0528 2.0297 8.1726
B 8.6654 2.5974 3.9759
Xe 2.1881 6.5059 7.1004
Xe 3.8007 7.3755 2.9037
Xe 3.9867 1.8788 5.4898
Xe 5.5992 2.7484 1.2930
F -0.1274 6.2970 0.8640
F -1.7399 7.5844 5.0607
F -0.0280 1.3433 0.7821
F -1.6406 3.2839 4.9788
F -1.6074 0.7123 6.3263
F 0.0051 3.9149 2.1296
F -0.3848 5.7365 5.3798
F 1.2277 8.1449 1.1831
F -1.3894 6.5060 8.0749
F 0.2232 7.3754 3.8782
F 0.4623 0.8573 5.2559
F 2.0748 3.7698 1.0592
F -0.0350 2.2458 7.0637
F 1.5776 2.3813 2.8669
F 1.9409 4.6386 3.1962
F 0.3283 9.2428 7.3929
F 0.9153 4.9018 7.7190
F 2.5279 8.9796 3.5223
F 4.3811 1.2349 1.9009
F 2.7685 3.3922 6.0976
F 5.0188 5.8621 2.2958
F 3.4063 8.0193 6.4925
F 5.2595 0.2747 4.8712
F 6.8721 4.3525 0.6745
F 7.4590 0.0115 1.0005
F 5.8465 4.6157 5.1972
F 6.2098 6.8729 5.5265
F 7.8224 7.0085 1.3298
F 5.7125 5.4844 7.3343
F 7.3251 8.3969 3.1376
F 7.5642 1.8788 4.5153
F 9.1768 2.7483 0.3186
F 6.5596 1.1094 7.2104
F 8.1722 3.5177 3.0136
F 7.7823 5.3394 6.2639
F 9.3948 8.5420 2.0671
F 9.4280 5.9704 3.4147
F 7.8154 7.9110 7.6114
F 9.5273 1.6699 3.3327
F 7.9147 2.9572 7.5295
```

The 6 most intense peaks (2θ = 10–90°), by intensity:
hkl 2 1 -2, 2θ = 24.1°, intensity 100; hkl 0 1 1, 2θ = 14.2°, intensity 97; hkl 1 2 -2, 2θ = 27.7°, intensity 96; hkl 3 0 0, 2θ = 26.0°, intensity 92; hkl 1 2 0, 2θ = 21.1°, intensity 89; hkl 3 1 -1, 2θ = 26.1°, intensity 83